Diffraction record for La2Tb12Sm. The XRD peak list is theoretical, not measured: it uses a crystal structure in Alexandria, relaxed with PBE and λ = 1.5418 Å (Cu Kα).

Structural model:
Cell lengths 6.480, 6.480, 25.150 Å; angles 90.00, 90.00, 90.00 degrees
Space group P4/nbm (No. 125, origin choice 2)
One atom of each set of equivalent atoms:
La1 0.250 0.750 0.231 (multiplicity 4)
Tb1 0.063 0.563 0.384 (multiplicity 8)
Tb2 0.082 0.582 0.940 (multiplicity 8)
Tb3 0.250 0.250 0.160 (multiplicity 4)
Tb4 0.250 0.250 0.284 (multiplicity 4)
Sm1 0.250 0.750 0.500 (multiplicity 2)

Most intense lines, 10 to 80 degrees two-theta, most intense first:
- 31.7 deg, d = 2.826 Å, I = 100, hkl 1 1 7
- 28.4 deg, d = 3.138 Å, I = 40, hkl 2 0 2
- 32.0 deg, d = 2.794 Å, I = 32, hkl 0 0 9
- 31.1 deg, d = 2.880 Å, I = 32, hkl 2 0 4
- 29.6 deg, d = 3.022 Å, I = 31, hkl 2 0 3
- 39.3 deg, d = 2.291 Å, I = 30, hkl 2 2 0
- 35.8 deg, d = 2.511 Å, I = 27, hkl 2 1 5
- 55.6 deg, d = 1.653 Å, I = 26, hkl 3 1 9
- 34.1 deg, d = 2.632 Å, I = 23, hkl 2 1 4
- 20.6 deg, d = 4.305 Å, I = 23, hkl 1 1 2
- 40.0 deg, d = 2.255 Å, I = 21, hkl 2 1 7
- 44.2 deg, d = 2.048 Å, I = 19, hkl 3 1 0



Diffraction record for La3TbSm. The XRD peak list is theoretical, not measured: it uses a crystal structure in Alexandria, relaxed with PBE and λ = 1.5418 Å (Cu Kα).

Structural model:
Cell lengths 15.684, 13.743, 6.748 Å; angles 90.00, 104.86, 90.00 degrees
Space group C2/c (No. 15)
One atom of each set of equivalent atoms:
La1 0.097 0.184 0.439 (multiplicity 8)
La2 0.200 0.312 0.152 (multiplicity 8)
La3 0.200 0.437 0.651 (multiplicity 8)
Tb1 0.099 0.068 0.941 (multiplicity 8)
Sm1 0.000 0.309 0.750 (multiplicity 4)
Sm2 0.000 0.435 0.250 (multiplicity 4)

Most intense lines, 10 to 80 degrees two-theta, most intense first:
- 30.3 deg, d = 2.946 Å, I = 100, hkl 2 4 -1
- 30.2 deg, d = 2.961 Å, I = 88, hkl 5 1 0
- 31.3 deg, d = 2.861 Å, I = 46, hkl 4 0 -2
- 31.7 deg, d = 2.819 Å, I = 40, hkl 3 3 1
- 45.2 deg, d = 2.008 Å, I = 30, hkl 7 3 -1
- 60.6 deg, d = 1.528 Å, I = 27, hkl 8 4 1
- 55.1 deg, d = 1.668 Å, I = 19, hkl 6 4 -3
- 41.4 deg, d = 2.179 Å, I = 18, hkl 3 5 1
- 52.8 deg, d = 1.734 Å, I = 17, hkl 7 5 -1
- 55.8 deg, d = 1.648 Å, I = 16, hkl 5 7 0
- 55.0 deg, d = 1.670 Å, I = 16, hkl 9 1 -2
- 63.1 deg, d = 1.473 Å, I = 15, hkl 4 8 -2



Diffraction record for La8Tb6Sm. The XRD peak list is theoretical, not measured: it uses a crystal structure in Alexandria, relaxed with PBE and λ = 1.5418 Å (Cu Kα).

Structural model:
Cell lengths 9.5025, 9.5025, 6.7021 Å; angles 90.00, 90.00, 120.00 degrees
Space group P-3 (No. 147)
One atom of each set of equivalent atoms:
La1 0.0429 0.7497 0.1674 (multiplicity 6)
La2 0.3333 0.6667 0.1184 (multiplicity 2)
Tb1 0.0968 0.6600 0.6524 (multiplicity 6)
Sm1 0.0000 0.0000 0.5000 (multiplicity 1)

Most intense lines, 10 to 80 degrees two-theta, most intense first:
- 31.7 deg, d = 2.821 Å, I = 100, hkl 3 -1 1
- 32.7 deg, d = 2.740 Å, I = 84, hkl 1 1 2
- 28.7 deg, d = 3.108 Å, I = 68, hkl 2 1 0
- 50.2 deg, d = 1.816 Å, I = 27, hkl 2 3 1
- 25.4 deg, d = 3.507 Å, I = 25, hkl 0 2 1
- 61.2 deg, d = 1.514 Å, I = 21, hkl 6 -4 1
- 57.7 deg, d = 1.597 Å, I = 16, hkl 4 -3 3
- 64.6 deg, d = 1.443 Å, I = 16, hkl 2 3 3
- 48.2 deg, d = 1.887 Å, I = 14, hkl 4 -1 2
- 50.8 deg, d = 1.796 Å, I = 13, hkl 4 1 0
- 52.2 deg, d = 1.753 Å, I = 12, hkl 0 4 2
- 41.9 deg, d = 2.159 Å, I = 12, hkl 1 3 1



Diffraction record for La2Tb12Sm5. The XRD peak list is theoretical, not measured: it uses a crystal structure in Alexandria, relaxed with PBE and λ = 1.5418 Å (Cu Kα).

Structural model:
Cell lengths 6.867, 6.871, 15.122 Å; angles 79.87, 87.36, 64.64 degrees
Space group P-1 (No. 2)
One atom of each set of equivalent atoms:
La1 0.011 0.238 0.033 (multiplicity 2)
Tb1 0.017 0.616 0.387 (multiplicity 2)
Tb2 0.067 0.110 0.419 (multiplicity 2)
Tb3 0.235 0.067 0.824 (multiplicity 2)
Tb4 0.250 0.584 0.754 (multiplicity 2)
Tb5 0.260 0.415 0.188 (multiplicity 2)
Tb6 0.281 0.877 0.246 (multiplicity 2)
Sm1 0.444 0.925 0.614 (multiplicity 2)
Sm2 0.496 0.735 0.035 (multiplicity 2)
Sm3 0.500 0.500 0.500 (multiplicity 1)

Most intense lines, 10 to 80 degrees two-theta, most intense first:
- 31.6 deg, d = 2.830 Å, I = 100, hkl 0 2 3
- 30.9 deg, d = 2.897 Å, I = 80, hkl 2 2 1
- 33.6 deg, d = 2.670 Å, I = 51, hkl 0 2 -2
- 32.0 deg, d = 2.798 Å, I = 42, hkl 1 1 5
- 28.6 deg, d = 3.125 Å, I = 35, hkl 1 -1 2
- 30.3 deg, d = 2.952 Å, I = 31, hkl 1 1 -4
- 30.0 deg, d = 2.976 Å, I = 23, hkl 0 0 5
- 55.8 deg, d = 1.647 Å, I = 20, hkl 4 2 3
- 49.6 deg, d = 1.836 Å, I = 19, hkl -2 2 1
- 31.1 deg, d = 2.877 Å, I = 18, hkl 2 2 0
- 58.6 deg, d = 1.576 Å, I = 17, hkl 1 3 8
- 52.4 deg, d = 1.745 Å, I = 16, hkl 1 -1 7